(1)
Bi2Sb2Pt7Rh: simulated PXRD pattern (Cu Kα, 1.54184 Å), based on a structure optimized by DFT (GGA-PBE).
Intensities are scaled so that the largest is 100.

Structure:
```
data_Bi2Sb2Pt7Rh
_chemical_formula_sum 'Bi4 Sb4 Pt14 Rh2'
_space_group_name_H-M_alt 'I 4/m m m'
_space_group_IT_number 139
_space_group_name_Hall '-I 4 2'
_cell_length_a 3.9915
_cell_length_b 3.9915
_cell_length_c 32.0459
_cell_angle_alpha 90.00
_cell_angle_beta 90.00
_cell_angle_gamma 90.00
loop_
_atom_site_label
_atom_site_type_symbol
_atom_site_fract_x
_atom_site_fract_y
_atom_site_fract_z
_atom_site_occupancy
Bi1 Bi 0.0000 0.0000 0.2135 1
Sb1 Sb 0.0000 0.0000 0.3832 1
Pt1 Pt 0.0000 0.0000 0.3016 1
Pt2 Pt 0.0000 0.0000 0.5000 1
Pt3 Pt 0.0000 0.5000 0.0625 1
Rh1 Rh 0.0000 0.0000 0.0000 1
```

Most intense lines, 10° ≤ 2θ ≤ 80°, in order of rising 2θ:
2θ 11.04, I 41
2θ 22.19, I 24
2θ 22.45, I 18
2θ 32.20, I 66
2θ 35.99, I 42
2θ 39.04, I 36
2θ 42.69, I 100
2θ 45.45, I 71
2θ 61.66, I 18
2θ 66.23, I 23

---

(2)
TaBiRuPt2: simulated PXRD pattern (Cu Kα, 1.54184 Å), based on a structure optimized by DFT (GGA-PBE).
Intensities are scaled so that the largest is 100.

Structure:
```
data_TaBiRuPt2
_chemical_formula_sum 'Ta1 Bi1 Ru1 Pt2'
_space_group_name_H-M_alt 'P 4/m m m'
_space_group_IT_number 123
_space_group_name_Hall '-P 4 2'
_cell_length_a 4.9692
_cell_length_b 4.9692
_cell_length_c 4.6604
_cell_angle_alpha 90.00
_cell_angle_beta 90.00
_cell_angle_gamma 90.00
loop_
_atom_site_label
_atom_site_type_symbol
_atom_site_fract_x
_atom_site_fract_y
_atom_site_fract_z
_atom_site_occupancy
Ta1 Ta 0.0000 0.0000 0.0000 1
Bi1 Bi 0.5000 0.5000 0.5000 1
Ru1 Ru 0.0000 0.0000 0.5000 1
Pt1 Pt 0.0000 0.5000 0.0000 1
```

Most intense lines, 10° ≤ 2θ ≤ 80°, in order of rising 2θ:
2θ 19.04, I 20
2θ 26.22, I 47
2θ 31.90, I 97
2θ 36.15, I 100
2θ 38.64, I 42
2θ 45.20, I 23
2θ 52.05, I 36
2θ 53.95, I 64
2θ 62.36, I 29
2θ 66.67, I 34

---

(3)
Bi3SbPt2: simulated PXRD pattern (Cu Kα, 1.54184 Å), based on a structure optimized by DFT (GGA-PBE).
Intensities are scaled so that the largest is 100.

Structure:
```
data_Bi3SbPt2
_chemical_formula_sum 'Bi6 Sb2 Pt4'
_space_group_name_H-M_alt 'P 1 21 1'
_space_group_IT_number 4
_space_group_name_Hall 'P 2yb'
_cell_length_a 6.7532
_cell_length_b 6.7563
_cell_length_c 6.7551
_cell_angle_alpha 90.00
_cell_angle_beta 91.45
_cell_angle_gamma 90.00
loop_
_atom_site_label
_atom_site_type_symbol
_atom_site_fract_x
_atom_site_fract_y
_atom_site_fract_z
_atom_site_occupancy
Bi1 Bi 0.1171 0.0000 0.3698 1
Bi2 Bi 0.3749 0.7589 0.8710 1
Bi3 Bi 0.3806 0.2584 0.6316 1
Sb1 Sb 0.1242 0.5021 0.1243 1
Pt1 Pt 0.2376 0.1369 0.9999 1
Pt2 Pt 0.2476 0.6253 0.4887 1
```

Most intense lines, 10° ≤ 2θ ≤ 80°, in order of rising 2θ:
2θ 26.39, I 40
2θ 29.57, I 100
2θ 29.89, I 26
2θ 32.19, I 39
2θ 32.76, I 35
2θ 37.67, I 26
2θ 44.18, I 45
2θ 44.37, I 27
2θ 44.83, I 48
2θ 50.32, I 25